Record 1
For HfTeIr, DFT lattice parameters and positions (PBE) gives the simulated XRD peak list in this record (Cu Kα (λ = 1.5418 Å)).
Neutral-atom scattering factors, no anomalous dispersion.

Lattice parameters (Å, degrees): 3.1763 4.5290 10.3540 90.00 98.32 90.00
Space group P2_1 (No. 4)
Asymmetric unit:
Hf  0.0630  0.0000  0.1336 [2 per cell]
Te  0.3397  0.8294  0.6587 [2 per cell]
Ir  0.4580  0.0237  0.9110 [2 per cell]

Main lines, most intense first (2θ from 10° to 80°):
(1 1 1), 36.90 deg, rel. 100
(1 1 -2), 37.08 deg, rel. 99
(1 1 -1), 34.78 deg, rel. 98
(0 2 1), 40.81 deg, rel. 87
(0 0 4), 35.03 deg, rel. 86
(1 1 2), 40.97 deg, rel. 79
(1 1 -3), 41.25 deg, rel. 77
(0 1 2), 26.27 deg, rel. 51
(0 1 4), 40.46 deg, rel. 47
(1 1 3), 46.55 deg, rel. 44

Record 2
For LiNiW, DFT lattice parameters and positions (PBE) gives the simulated XRD peak list in this record (Cu Kα (λ = 1.5418 Å)).
Neutral-atom scattering factors, no anomalous dispersion.

Lattice parameters (Å, degrees): 3.1780 4.2309 12.4800 90.00 90.00 90.00
Space group Fmm2 (No. 42)
Asymmetric unit:
Li  0.0000  0.0000  0.0000 [4 per cell]
Ni  0.0000  0.0000  0.3418 [4 per cell]
W  0.0000  0.0000  0.6891 [4 per cell]

Main lines, most intense first (2θ from 10° to 80°):
(0 0 2), 14.19 deg, rel. 100
(1 1 3), 41.65 deg, rel. 65
(1 1 1), 36.07 deg, rel. 35
(1 1 5), 51.31 deg, rel. 19
(0 2 0), 42.74 deg, rel. 15
(0 0 6), 43.51 deg, rel. 14
(0 0 4), 28.61 deg, rel. 13
(0 2 2), 45.26 deg, rel. 11
(1 3 3), 77.52 deg, rel. 10
(0 2 6), 62.64 deg, rel. 9

Record 3
For Sm2SnGe3Pd4, DFT lattice parameters and positions (PBE) gives the simulated XRD peak list in this record (Cu Kα (λ = 1.5418 Å)).
Neutral-atom scattering factors, no anomalous dispersion.

Lattice parameters (Å, degrees): 4.3403 4.3403 10.5664 90.00 90.00 90.00
Space group P-4m2 (No. 115)
Asymmetric unit:
Sm  0.0000  0.5000  0.2365 [2 per cell]
Sn  0.0000  0.0000  0.5000 [1 per cell]
Ge  0.0000  0.5000  0.8756 [2 per cell]
Ge  0.5000  0.5000  0.5000 [1 per cell]
Pd  0.0000  0.0000  0.0000 [1 per cell]
Pd  0.0000  0.5000  0.6451 [2 per cell]
Pd  0.5000  0.5000  0.0000 [1 per cell]

Main lines, most intense first (2θ from 10° to 80°):
(1 1 2), 33.78 deg, rel. 100
(2 0 0), 41.62 deg, rel. 56
(1 0 3), 32.75 deg, rel. 44
(3 1 2), 70.96 deg, rel. 26
(1 0 5), 47.88 deg, rel. 23
(2 1 3), 53.94 deg, rel. 21
(2 2 0), 60.32 deg, rel. 19
(2 1 5), 65.27 deg, rel. 18
(1 1 4), 45.29 deg, rel. 17
(1 1 6), 60.62 deg, rel. 9

Record 4
For Pa2CoRh, DFT lattice parameters and positions (PBE) gives the simulated XRD peak list in this record (Cu Kα (λ = 1.5418 Å)).
Neutral-atom scattering factors, no anomalous dispersion.

Lattice parameters (Å, degrees): 5.8761 3.9330 7.4955 90.00 112.36 90.00
Space group P2_1/m (No. 11)
Asymmetric unit:
Pa  0.2010  0.2500  0.4332 [2 per cell]
Pa  0.2679  0.7500  0.0539 [2 per cell]
Co  0.0845  0.2500  0.7851 [2 per cell]
Rh  0.4099  0.7500  0.7166 [2 per cell]

Main lines, most intense first (2θ from 10° to 80°):
(1 1 1), 33.47 deg, rel. 100
(2 0 -2), 33.27 deg, rel. 64
(0 1 2), 34.49 deg, rel. 55
(1 1 -1), 28.09 deg, rel. 52
(1 1 -3), 42.92 deg, rel. 40
(0 2 0), 46.16 deg, rel. 33
(2 1 0), 40.34 deg, rel. 27
(2 2 -2), 58.08 deg, rel. 27
(1 0 3), 48.31 deg, rel. 26
(3 1 -1), 52.54 deg, rel. 23

Record 5
For Al3Ge2, DFT lattice parameters and positions (PBE) gives the simulated XRD peak list in this record (Cu Kα (λ = 1.5418 Å)).
Neutral-atom scattering factors, no anomalous dispersion.

Lattice parameters (Å, degrees): 6.6027 6.6027 15.7377 90.00 90.00 120.00
Space group R-3c (No. 167, hexagonal axes)
Asymmetric unit:
Al  0.0000  0.2516  0.2500 [18 per cell]
Ge  0.0000  0.0000  0.1145 [12 per cell]

Main lines, most intense first (2θ from 10° to 80°):
(1 1 0), 27.01 deg, rel. 100
(1 0 4), 27.52 deg, rel. 89
(2 1 4), 48.03 deg, rel. 80
(0 2 4), 38.94 deg, rel. 74
(3 0 0), 47.71 deg, rel. 44
(0 1 8), 48.97 deg, rel. 31
(1 1 3), 32.03 deg, rel. 26
(0 0 6), 34.18 deg, rel. 23
(4 1 0), 76.31 deg, rel. 21
(3 2 4), 76.56 deg, rel. 20

Record 6
For Pa2Fe5Co5, DFT lattice parameters and positions (PBE) gives the simulated XRD peak list in this record (Cu Kα (λ = 1.5418 Å)).
Neutral-atom scattering factors, no anomalous dispersion.

Lattice parameters (Å, degrees): 4.0443 5.0069 8.1903 90.00 90.00 90.00
Space group Pmmm (No. 47)
Asymmetric unit:
Pa  0.0000  0.0000  0.0000 [1 per cell]
Pa  0.0000  0.5000  0.5000 [1 per cell]
Fe  0.0000  0.0000  0.3170 [2 per cell]
Fe  0.0000  0.5000  0.1815 [2 per cell]
Fe  0.5000  0.0000  0.5000 [1 per cell]
Co  0.5000  0.2501  0.2492 [4 per cell]
Co  0.5000  0.5000  0.0000 [1 per cell]

Main lines, most intense first (2θ from 10° to 80°):
(1 1 3), 43.91 deg, rel. 100
(1 1 1), 30.44 deg, rel. 96
(1 2 0), 42.47 deg, rel. 57
(2 0 0), 44.82 deg, rel. 41
(0 2 2), 42.31 deg, rel. 39
(0 1 3), 37.52 deg, rel. 38
(1 0 2), 31.08 deg, rel. 36
(0 1 1), 20.79 deg, rel. 27
(1 3 3), 70.05 deg, rel. 24
(0 0 4), 44.23 deg, rel. 24

Record 7
For PmPr2Y7, DFT lattice parameters and positions (PBE) gives the simulated XRD peak list in this record (Cu Kα (λ = 1.5418 Å)).
Neutral-atom scattering factors, no anomalous dispersion.

Lattice parameters (Å, degrees): 6.2407 6.2455 9.5367 102.59 109.01 99.43
Space group P-1 (No. 2)
Asymmetric unit:
Pm  0.0000  0.0000  0.0000 [1 per cell]
Pr  0.4000  0.4987  0.3000 [2 per cell]
Y  0.0000  0.5000  0.5000 [1 per cell]
Y  0.1989  0.9991  0.3997 [2 per cell]
Y  0.2010  0.5000  0.9003 [2 per cell]
Y  0.3983  0.9997  0.7998 [2 per cell]

Main lines, most intense first (2θ from 10° to 80°):
(1 0 2), 30.31 deg, rel. 100
(2 1 -1), 35.19 deg, rel. 100
(1 1 -3), 30.39 deg, rel. 99
(3 0 -4), 50.65 deg, rel. 58
(4 0 -2), 60.19 deg, rel. 48
(3 1 1), 60.06 deg, rel. 21
(3 -3 1), 60.28 deg, rel. 14
(1 2 2), 50.49 deg, rel. 12
(2 2 -6), 63.24 deg, rel. 12
(2 -4 4), 74.45 deg, rel. 7

Record 8
For VGe2Ir, DFT lattice parameters and positions (PBE) gives the simulated XRD peak list in this record (Cu Kα (λ = 1.5418 Å)).
Neutral-atom scattering factors, no anomalous dispersion.

Lattice parameters (Å, degrees): 6.1947 6.1947 6.1947 90.00 90.00 90.00
Space group Fm-3m (No. 225)
Asymmetric unit:
V  0.0000  0.0000  0.0000 [4 per cell]
Ge  0.2500  0.2500  0.2500 [8 per cell]
Ir  0.0000  0.0000  0.5000 [4 per cell]

Main lines, most intense first (2θ from 10° to 80°):
(2 2 0), 41.22 deg, rel. 100
(4 2 2), 75.13 deg, rel. 33
(1 1 1), 24.90 deg, rel. 31
(4 0 0), 59.71 deg, rel. 17
(3 1 1), 48.75 deg, rel. 16
(3 3 1), 65.70 deg, rel. 7
(2 0 0), 28.82 deg, rel. 7
(4 2 0), 67.63 deg, rel. 2
(2 2 2), 51.07 deg, rel. 2

Record 9
For La3Ga7Os2, DFT lattice parameters and positions (PBE) gives the simulated XRD peak list in this record (Cu Kα (λ = 1.5418 Å)).
Neutral-atom scattering factors, no anomalous dispersion.

Lattice parameters (Å, degrees): 4.7567 4.7567 25.0610 90.00 90.00 90.00
Space group I4/mmm (No. 139)
Asymmetric unit:
La  0.0000  0.0000  0.0000 [2 per cell]
La  0.0000  0.0000  0.1830 [4 per cell]
Ga  0.0000  0.0000  0.3029 [4 per cell]
Ga  0.0000  0.0000  0.5000 [2 per cell]
Ga  0.0000  0.5000  0.0934 [8 per cell]
Os  0.0000  0.0000  0.4038 [4 per cell]

Main lines, most intense first (2θ from 10° to 80°):
(2 0 0), 37.83 deg, rel. 100
(1 0 5), 25.82 deg, rel. 88
(1 1 0), 26.50 deg, rel. 76
(2 0 10), 53.09 deg, rel. 55
(0 0 10), 35.83 deg, rel. 43
(2 1 5), 46.37 deg, rel. 37
(2 2 0), 54.57 deg, rel. 34
(1 1 6), 34.23 deg, rel. 30
(2 2 10), 67.02 deg, rel. 27
(1 1 10), 45.12 deg, rel. 24

Record 10
For TbZn9Pd2, DFT lattice parameters and positions (PBE) gives the simulated XRD peak list in this record (Cu Kα (λ = 1.5418 Å)).
Neutral-atom scattering factors, no anomalous dispersion.

Lattice parameters (Å, degrees): 10.5587 10.5587 6.9360 90.00 90.00 90.00
Space group I4_1/amd (No. 141, origin choice 2)
Asymmetric unit:
Tb  0.0000  0.2500  0.3750 [4 per cell]
Zn  0.0000  0.2500  0.8750 [4 per cell]
Zn  0.1207  0.0437  0.6756 [32 per cell]
Pd  0.0000  0.0000  0.0000 [8 per cell]

Main lines, most intense first (2θ from 10° to 80°):
(3 1 2), 37.39 deg, rel. 100
(4 2 0), 38.12 deg, rel. 69
(5 0 1), 44.87 deg, rel. 57
(3 2 1), 33.21 deg, rel. 55
(4 2 2), 46.53 deg, rel. 43
(1 0 3), 39.92 deg, rel. 39
(5 5 2), 68.40 deg, rel. 30
(2 1 3), 43.59 deg, rel. 20
(5 2 1), 48.23 deg, rel. 18
(4 0 0), 33.96 deg, rel. 17

Record 11
For CeNbSb3, DFT lattice parameters and positions (PBE) gives the simulated XRD peak list in this record (Cu Kα (λ = 1.5418 Å)).
Neutral-atom scattering factors, no anomalous dispersion.

Lattice parameters (Å, degrees): 13.1818 6.4252 6.1541 90.00 90.00 90.00
Space group Pbcm (No. 57)
Asymmetric unit:
Ce  0.1865  0.0027  0.2500 [4 per cell]
Nb  0.4052  0.7500  0.0000 [4 per cell]
Sb  0.0017  0.7500  0.0000 [4 per cell]
Sb  0.2688  0.0032  0.7500 [4 per cell]
Sb  0.4245  0.1174  0.2500 [4 per cell]

Main lines, most intense first (2θ from 10° to 80°):
(2 2 0), 30.97 deg, rel. 100
(4 1 1), 33.86 deg, rel. 92
(0 2 2), 40.60 deg, rel. 85
(2 0 2), 32.11 deg, rel. 77
(3 1 1), 28.57 deg, rel. 43
(2 4 2), 67.28 deg, rel. 41
(5 0 0), 34.01 deg, rel. 38
(3 0 2), 35.62 deg, rel. 31
(3 2 0), 34.59 deg, rel. 30
(3 1 2), 38.36 deg, rel. 26

Record 12
For LiSn2P3O12, DFT lattice parameters and positions (PBE) gives the simulated XRD peak list in this record (Cu Kα (λ = 1.5418 Å)).
Neutral-atom scattering factors, no anomalous dispersion.

Lattice parameters (Å, degrees): 8.4869 8.5011 9.1341 62.37 62.40 60.57
Space group P-1 (No. 2)
Asymmetric unit:
Li  0.2475  0.0715  0.3652 [2 per cell]
Sn  0.1569  0.6437  0.5496 [2 per cell]
Sn  0.3558  0.8480  0.9332 [2 per cell]
P  0.0417  0.9624  0.7446 [2 per cell]
P  0.2482  0.4631  0.2474 [2 per cell]
P  0.4615  0.2466  0.7536 [2 per cell]
O  0.0062  0.8214  0.7082 [2 per cell]
O  0.0387  0.4877  0.2986 [2 per cell]
O  0.0459  0.1408  0.5791 [2 per cell]
O  0.1160  0.9877  0.0952 [2 per cell]
O  0.2396  0.8737  0.7664 [2 per cell]
O  0.2859  0.4900  0.3826 [2 per cell]
O  0.3005  0.6022  0.0665 [2 per cell]
O  0.3358  0.4546  0.6933 [2 per cell]
O  0.3374  0.7996  0.3879 [2 per cell]
O  0.3767  0.2565  0.2388 [2 per cell]
O  0.3800  0.1081  0.7738 [2 per cell]
O  0.4815  0.2102  0.9258 [2 per cell]

Main lines, most intense first (2θ from 10° to 80°):
(1 1 2), 19.51 deg, rel. 100
(1 2 1), 20.92 deg, rel. 44
(2 0 2), 28.64 deg, rel. 39
(1 2 -1), 31.36 deg, rel. 37
(1 0 1), 14.21 deg, rel. 34
(-1 1 2), 31.25 deg, rel. 33
(1 2 2), 23.92 deg, rel. 28
(1 -1 0), 20.74 deg, rel. 23
(3 0 1), 36.44 deg, rel. 19
(1 1 0), 14.31 deg, rel. 19